Diffraction record for Bi4Rh. The XRD peak list is theoretical, not measured: it uses a structure optimized by DFT (PBE) and Cu Kα, 1.54184 Å.

Main lines, sorted by position (15 to 90 degrees two-theta):
index  2θ (°)  I_rel
3 3 2  27.54  100
4 2 2  28.79  34
4 3 1  29.99  70
5 2 1  32.27  82
6 1 1  36.46  80
6 4 0  42.93  74
5 5 2  43.79  21
6 4 2  44.63  21
7 5 4  57.55  30
8 5 3  60.31  33

Atomic structure:
Cell lengths 15.193, 15.193, 15.193 Å; angles 90.00, 90.00, 90.00 degrees
Space group Ia-3d (No. 230)
Asymmetric unit:
Bi  0.024  0.063  0.652
Rh  0.000  0.250  0.125